Mn3V2H4: calculated powder diffraction line list (λ = 1.5418 Å (Cu Kα)), based on a GGA-PBE-relaxed structure.

Main lines, low angle first (5 to 70 degrees two-theta):
hkl 0 0 1, 2θ = 8.1°, d = 10.903 Å, I = 2.7
hkl 0 0 2, 2θ = 16.3°, d = 5.452 Å, I = 6.1
hkl 0 0 3, 2θ = 24.5°, d = 3.634 Å, I = 1.2
hkl 0 0 4, 2θ = 32.9°, d = 2.726 Å, I = 1.4
hkl 1 0 0, 2θ = 39.3°, d = 2.292 Å, I = 6.3
hkl 0 1 1, 2θ = 40.2°, d = 2.243 Å, I = 43.1
hkl 0 0 5, 2θ = 41.4°, d = 2.181 Å, I = 47.1
hkl 0 1 2, 2θ = 42.8°, d = 2.113 Å, I = 89.9
hkl 1 0 3, 2θ = 46.9°, d = 1.939 Å, I = 100.0
hkl 0 1 4, 2θ = 52.1°, d = 1.754 Å, I = 10.1
hkl 0 1 5, 2θ = 58.4°, d = 1.580 Å, I = 5.4
hkl 0 1 6, 2θ = 65.6°, d = 1.424 Å, I = 17.2

Atomic structure:
```
Mn3V2H4
1.0
2.6469 0.0000 0.0000
-1.3234 2.2922 0.0000
0.0000 0.0000 10.9033
Mn V H
3 2 4
direct
0.0000 0.0000 0.0000 Mn
0.3333 0.6667 0.5842 Mn
0.6667 0.3333 0.4158 Mn
0.3333 0.6667 0.2018 V
0.6667 0.3333 0.7982 V
0.0000 0.0000 0.3144 H
0.0000 0.0000 0.6856 H
0.3333 0.6667 0.9087 H
0.6667 0.3333 0.0913 H
```